For Ca6ZnAu2, a DFT-relaxed cell (PBE, Alexandria) gives the computed powder X-ray diffraction pattern in this record (copper Kα).

Cell and atoms:
```
Ca6ZnAu2
1.0
-4.841 5.042 5.639
4.841 -5.042 5.639
4.841 5.042 -5.639
Ca Zn Au
12 2 4
direct
0.054 0.245 0.809 Ca
0.177 0.288 0.465 Ca
0.177 0.712 0.889 Ca
0.342 0.032 0.690 Ca
0.342 0.652 0.310 Ca
0.436 0.245 0.191 Ca
0.564 0.755 0.809 Ca
0.658 0.348 0.690 Ca
0.658 0.968 0.310 Ca
0.823 0.288 0.111 Ca
0.823 0.712 0.535 Ca
0.946 0.755 0.191 Ca
0.000 0.000 0.000 Zn
0.500 0.500 0.000 Zn
0.135 0.635 0.500 Au
0.312 0.000 0.312 Au
0.688 0.000 0.688 Au
0.865 0.365 0.500 Au
```

Main lines, by angle (10 to 90 degrees two-theta):
| 2θ/deg | d_spacing | I_rel |
| --- | --- | --- |
| 12.68 | 6.984 | 100.0 |
| 18.33 | 4.841 | 86.8 |
| 21.38 | 4.157 | 84.1 |
| 25.42 | 3.504 | 44.1 |
| 31.41 | 2.848 | 64.1 |
| 32.36 | 2.767 | 78.4 |
| 33.41 | 2.682 | 84.1 |
| 33.92 | 2.642 | 56.0 |